[1]
Simulated powder X-ray diffraction pattern
Compound: Cs2Ta2Hg3S8
Radiation: Cu Ka
Structure: the PBE geometry in OQMD
Neutral-atom scattering factors, no anomalous dispersion.

```
15
Lattice="7.1689 0.0000 0.0000 -2.5519 7.5811 0.0000 -0.2448 -2.8279 8.8427" Properties=species:S:1:pos:R:3 pbc="T T T"
Cs -0.3562 2.7791 2.1679
Cs 4.7283 1.9740 6.6748
Ta 1.1831 -0.9138 6.8032
Ta 3.1891 5.6669 2.0395
Hg 2.1115 -0.4331 3.3880
Hg 3.5844 0.0000 0.0000
Hg 2.2606 5.1863 5.4547
S -1.8408 6.0605 1.3500
S -0.5441 4.9217 5.5841
S 1.3010 0.9780 5.5323
S 2.5420 -0.5762 8.6988
S 1.8302 5.3293 0.1439
S 3.0711 3.7751 3.3104
S 4.9162 -0.1686 3.2586
S 6.2129 -1.3074 7.4927
```

Largest 10 diffraction maxima, in order of rising 2θ, 5 to 70 degrees two-theta:
d [Å]	Position (°2θ)	Rel. int.
7.221	12.3	81
4.257	20.9	100
3.933	22.6	48
3.814	23.3	66
3.350	26.6	50
3.313	26.9	66
2.861	31.3	31
2.811	31.8	42
2.727	32.8	49
2.581	34.8	43

***

[2]
Simulated powder X-ray diffraction pattern
Compound: CsTbHg3S4
Radiation: Cu Ka
Structure: the PBE geometry in OQMD
Neutral-atom scattering factors, no anomalous dispersion.

```
18
Lattice="6.2591 0.0000 0.0000 0.0000 7.6842 0.0000 -0.6100 0.0000 12.0375" Properties=species:S:1:pos:R:3 pbc="T T T"
Cs 0.7357 1.9211 4.4315
Cs 4.9134 5.7632 7.6060
Tb 2.3568 5.7632 2.4799
Tb 3.2923 1.9211 9.5576
Hg 0.3144 1.9211 8.3245
Hg 1.2804 4.0183 11.4578
Hg 1.2804 7.5080 11.4578
Hg 4.3687 0.1762 0.5797
Hg 4.3687 3.6659 0.5797
Hg 5.3347 5.7632 3.7130
S 0.2420 5.7632 0.6110
S 1.2091 5.7632 4.8181
S 1.7265 3.9569 8.8603
S 1.7265 7.5694 8.8603
S 3.9227 0.1148 3.1772
S 3.9227 3.7273 3.1772
S 4.4400 1.9211 7.2194
S 5.4071 1.9211 11.4265
```

Largest 10 diffraction maxima, in order of rising 2θ, 5 to 70 degrees two-theta:
d [Å]	Position (°2θ)	Rel. int.
12.037	7.3	100
6.477	13.7	51
5.666	15.6	30
4.012	22.2	29
3.660	24.3	49
3.239	27.5	41
2.895	30.9	29
2.767	32.4	33
2.570	34.9	46
2.359	38.2	40

***

[3]
Simulated powder X-ray diffraction pattern
Compound: CsTbHg3S4
Radiation: Cu Ka
Structure: the PBE geometry in OQMD
Neutral-atom scattering factors, no anomalous dispersion.

```
9
Lattice="6.8602 0.0000 0.0000 0.0000 6.8602 0.0000 0.0000 0.0000 6.8602" Properties=species:S:1:pos:R:3 pbc="T T T"
Cs 0.0000 0.0000 0.0000
Tb 3.4301 3.4301 3.4301
Hg 0.0000 3.4301 3.4301
Hg 3.4301 0.0000 3.4301
Hg 3.4301 3.4301 0.0000
S 1.9410 1.9410 1.9410
S 1.9410 4.9193 4.9193
S 4.9193 1.9410 4.9193
S 4.9193 4.9193 1.9410
```

Largest 10 diffraction maxima, in order of rising 2θ, 5 to 70 degrees two-theta:
d [Å]	Position (°2θ)	Rel. int.
6.860	12.9	41
3.961	22.4	82
3.430	26.0	73
2.425	37.1	100
2.068	43.8	43
1.980	45.8	23
1.715	53.4	17
1.574	58.7	18
1.534	60.3	33
1.400	66.8	33

***

[4]
Simulated powder X-ray diffraction pattern
Compound: Cs2Hg3Te2S8
Radiation: Cu Ka
Structure: the PBE geometry in OQMD
Neutral-atom scattering factors, no anomalous dispersion.

```
15
Lattice="6.3260 0.0000 0.0000 -2.1405 8.3268 0.0000 -0.8177 -4.4824 9.2568" Properties=species:S:1:pos:R:3 pbc="T T T"
Cs -0.7100 2.0986 2.4604
Cs 4.0778 1.7459 6.7964
Hg 1.1245 -1.4224 3.5666
Hg 3.1630 0.0000 0.0000
Hg 2.2433 5.2668 5.6902
Te 0.9600 -1.2849 7.3587
Te 2.4079 5.1293 1.8981
S -1.5109 5.5317 1.6189
S -0.5837 5.0913 6.1455
S 0.9263 0.2624 5.2714
S 2.3346 2.1154 0.6214
S 1.0332 1.7290 8.6354
S 2.4415 3.5820 3.9853
S 3.9515 -1.2468 3.1113
S 4.8787 -1.6872 7.6378
```

Largest 10 diffraction maxima, in order of rising 2θ, 5 to 70 degrees two-theta:
d [Å]	Position (°2θ)	Rel. int.
7.494	11.8	55
4.108	21.6	59
4.085	21.8	73
3.909	22.8	85
3.343	26.7	39
3.146	28.4	100
3.040	29.4	87
2.874	31.1	49
2.498	36.0	29
2.044	44.3	29

***

[5]
Simulated powder X-ray diffraction pattern
Compound: Cs2Hg3Se4
Radiation: Cu Ka
Structure: the PBE geometry in OQMD
Neutral-atom scattering factors, no anomalous dispersion.

```
18
Lattice="-3.2859 6.0895 7.4145 3.2859 -6.0895 7.4145 3.2859 6.0895 -7.4145" Properties=species:S:1:pos:R:3 pbc="T T T"
Cs 1.5249 1.4493 0.0000
Cs 1.5249 -1.4493 7.4145
Cs 1.7610 7.5388 0.0000
Cs 1.7610 4.6402 7.4145
Hg 3.2859 4.0272 -3.7073
Hg 3.2859 0.0000 3.7073
Hg 0.0000 2.0623 3.7073
Hg 3.2859 4.0272 3.7073
Hg 0.0000 6.0895 3.7073
Hg 0.0000 2.0623 11.1218
Se 1.8504 -1.6273 2.0466
Se 1.4355 4.4622 -2.0466
Se 4.7213 1.6273 2.0466
Se 1.8504 1.6273 5.3679
Se 1.4355 4.4622 2.0466
Se -1.4355 4.4622 5.3679
Se 1.8504 1.6273 9.4612
Se 1.4355 7.7168 5.3679
```

Largest 10 diffraction maxima, in order of rising 2θ, 5 to 70 degrees two-theta:
d [Å]	Position (°2θ)	Rel. int.
7.415	11.9	81
3.707	24.0	35
3.454	25.8	62
3.314	26.9	98
3.131	28.5	100
3.004	29.7	88
2.527	35.5	76
2.010	45.1	33
1.975	45.9	41
1.866	48.8	35

***

[6]
Simulated powder X-ray diffraction pattern
Compound: Cs2UHg2Se5
Radiation: Cu Ka
Structure: the PBE geometry in OQMD
Neutral-atom scattering factors, no anomalous dispersion.

```
20
Lattice="10.4152 0.0000 0.0000 0.0000 4.3509 0.0000 -7.0341 0.0000 15.3748" Properties=species:S:1:pos:R:3 pbc="T T T"
Cs -0.7272 0.8080 6.8521
Cs -4.2443 3.5429 14.5395
Cs 7.6254 0.8080 0.8353
Cs 4.1083 3.5429 8.5227
U 3.4491 1.2856 3.8437
U -0.0680 3.0653 11.5311
Hg -3.1712 0.5535 10.7950
Hg 0.3459 3.7974 3.1076
Hg 3.0352 0.5535 12.2673
Hg 6.5523 3.7974 4.5798
Se -5.2756 1.8309 11.5311
Se -1.7585 2.5200 3.8437
Se 1.4424 1.3876 1.8039
Se -2.0746 2.9633 9.4913
Se -1.2911 0.8840 12.9766
Se 2.2259 3.4669 5.2892
Se 1.1552 0.8840 10.0856
Se 4.6722 3.4669 2.3982
Se 5.4557 1.3876 5.8835
Se 1.9386 2.9633 13.5709
```

Largest 10 diffraction maxima, in order of rising 2θ, 5 to 70 degrees two-theta:
d [Å]	Position (°2θ)	Rel. int.
7.698	11.5	100
4.227	21.0	25
3.678	24.2	22
3.437	25.9	56
3.157	28.3	31
3.142	28.4	76
2.895	30.9	34
2.513	35.7	23
2.246	40.2	20
1.877	48.5	25

***

[7]
Simulated powder X-ray diffraction pattern
Compound: CsHg3WSe4
Radiation: Cu Ka
Structure: the PBE geometry in OQMD
Neutral-atom scattering factors, no anomalous dispersion.

```
9
Lattice="7.4137 0.0000 0.0000 0.0000 7.4137 0.0000 0.0000 0.0000 7.4137" Properties=species:S:1:pos:R:3 pbc="T T T"
Cs 0.0000 0.0000 0.0000
Hg 0.0000 3.7068 3.7068
Hg 3.7068 0.0000 3.7068
Hg 3.7068 3.7068 0.0000
W 3.7068 3.7068 3.7068
Se 2.3438 2.3438 2.3438
Se 2.3438 5.0699 5.0699
Se 5.0699 2.3438 5.0699
Se 5.0699 5.0699 2.3438
```

Largest 10 diffraction maxima, in order of rising 2θ, 5 to 70 degrees two-theta:
d [Å]	Position (°2θ)	Rel. int.
7.414	11.9	77
4.280	20.8	70
3.707	24.0	52
2.621	34.2	100
2.471	36.4	19
2.235	40.3	42
2.140	42.2	23
2.056	44.0	19
1.658	55.4	40
1.513	61.3	28

***

[8]
Simulated powder X-ray diffraction pattern
Compound: Cs2NdHoS4
Radiation: Cu Ka
Structure: the PBE geometry in OQMD
Neutral-atom scattering factors, no anomalous dispersion.

```
8
Lattice="4.1580 0.0000 0.0000 -2.0790 3.6009 0.0000 0.0000 0.0000 16.1203" Properties=species:S:1:pos:R:3 pbc="T T T"
Cs 0.0000 2.4006 3.9730
Cs 2.0790 1.2003 12.1472
Nd 0.0000 0.0000 8.0601
Ho 0.0000 0.0000 0.0000
S 0.0000 2.4006 9.6123
S 0.0000 2.4006 14.6911
S 2.0790 1.2003 1.4292
S 2.0790 1.2003 6.5080
```

Largest 10 diffraction maxima, in order of rising 2θ, 5 to 70 degrees two-theta:
d [Å]	Position (°2θ)	Rel. int.
4.030	22.1	36
3.514	25.3	18
3.288	27.1	100
2.991	29.9	54
2.685	33.4	18
2.153	42.0	45
2.079	43.5	40
1.848	49.3	27
1.757	52.0	20
1.447	64.4	16

***

[9]
Simulated powder X-ray diffraction pattern
Compound: Cs2Ho2O5
Radiation: Cu Ka
Structure: the PBE geometry in OQMD
Neutral-atom scattering factors, no anomalous dispersion.

```
9
Lattice="4.6336 0.0000 0.0000 0.0000 4.6336 0.0000 0.0000 0.0000 7.3916" Properties=species:S:1:pos:R:3 pbc="T T T"
Cs 0.0000 0.0000 1.4565
Cs 0.0000 0.0000 5.9351
Ho 2.3168 2.3168 0.0000
Ho 2.3168 2.3168 3.6958
O 0.0000 0.0000 3.6958
O 0.0000 2.3168 1.9102
O 0.0000 2.3168 5.4814
O 2.3168 0.0000 1.9102
O 2.3168 0.0000 5.4814
```

Largest 10 diffraction maxima, in order of rising 2θ, 5 to 70 degrees two-theta:
d [Å]	Position (°2θ)	Rel. int.
3.276	27.2	75
2.889	31.0	100
2.452	36.7	10
2.317	38.9	45
2.175	41.5	9
1.807	50.5	51
1.638	56.1	15
1.465	63.5	15
1.445	64.5	9
1.425	65.5	12

***

[10]
Simulated powder X-ray diffraction pattern
Compound: CsHoSe2O8
Radiation: Cu Ka
Structure: the PBE geometry in OQMD
Neutral-atom scattering factors, no anomalous dispersion.

```
12
Lattice="5.6854 0.0000 0.0000 -2.8427 4.9237 0.0000 0.0000 0.0000 8.0288" Properties=species:S:1:pos:R:3 pbc="T T T"
Cs 0.0000 0.0000 0.0000
Ho 0.0000 0.0000 4.0144
Se 0.0000 3.2825 2.0623
Se 2.8427 1.6412 5.9665
O 0.0000 1.7272 2.6613
O -1.3469 4.0601 2.6613
O 0.0000 3.2825 0.4238
O 1.4958 0.8636 5.3675
O 1.3469 4.0601 2.6613
O 2.8427 1.6412 7.6050
O 4.1896 0.8636 5.3675
O 2.8427 3.1965 5.3675
```

Largest 10 diffraction maxima, in order of rising 2θ, 5 to 70 degrees two-theta:
d [Å]	Position (°2θ)	Rel. int.
4.924	18.0	52
4.197	21.2	60
3.111	28.7	100
2.843	31.5	65
2.099	43.1	40
1.860	49.0	18
1.813	50.3	13
1.688	54.3	32
1.640	56.1	39
1.421	65.7	11

***

[11]
Simulated powder X-ray diffraction pattern
Compound: CsHoPbS3
Radiation: Cu Ka
Structure: the PBE geometry in OQMD
Neutral-atom scattering factors, no anomalous dispersion.

```
12
Lattice="2.0133 -8.9515 0.0000 2.0133 8.9515 0.0000 0.0000 0.0000 11.6381" Properties=species:S:1:pos:R:3 pbc="T T T"
Cs 2.0133 5.7914 8.7285
Cs 2.0133 -5.7914 2.9095
Ho 2.0133 0.0000 0.0000
Ho 2.0133 0.0000 5.8190
Pb 2.0133 7.0882 2.9095
Pb 2.0133 -7.0882 8.7285
S 2.0133 7.1378 0.0622
S 2.0133 7.1378 5.7569
S 2.0133 -0.0058 2.9095
S 2.0133 0.0058 8.7285
S 2.0133 -7.1378 5.8812
S 2.0133 -7.1378 11.5759
```

Largest 10 diffraction maxima, in order of rising 2θ, 5 to 70 degrees two-theta:
d [Å]	Position (°2θ)	Rel. int.
8.951	9.9	100
4.879	18.2	42
4.177	21.3	50
3.549	25.1	55
3.338	26.7	100
3.256	27.4	88
3.209	27.8	46
2.910	30.7	69
2.676	33.5	42
2.193	41.2	62

***

[12]
Simulated powder X-ray diffraction pattern
Compound: CsHoPbSe3
Radiation: Cu Ka
Structure: the PBE geometry in OQMD
Neutral-atom scattering factors, no anomalous dispersion.

```
12
Lattice="9.3617 -2.1472 0.0000 9.3617 2.1472 0.0000 -1.8974 0.0000 9.8838" Properties=species:S:1:pos:R:3 pbc="T T T"
Cs 2.7326 0.0000 0.6542
Cs 14.0934 0.0000 9.2295
Ho 2.1025 0.0000 5.6250
Ho 14.7235 0.0000 4.2588
Pb 8.7509 0.0000 2.7866
Pb 8.0751 0.0000 7.0972
Se -0.9487 0.0000 4.9419
Se 4.8790 0.0000 6.1474
Se 5.8871 0.0000 2.4166
Se 9.3617 0.0000 0.0000
Se 10.9389 0.0000 7.4671
Se 11.9470 0.0000 3.7364
```

Largest 10 diffraction maxima, in order of rising 2θ, 5 to 70 degrees two-theta:
d [Å]	Position (°2θ)	Rel. int.
9.884	8.9	27
4.046	22.0	20
3.517	25.3	38
3.262	27.3	100
3.065	29.1	61
2.644	33.9	23
2.295	39.2	36
2.177	41.5	32
2.148	42.1	26
1.759	52.0	24